Record 1
This entry pairs a crystal structure of LaAg2W with its simulated powder X-ray diffraction pattern. Radiation: CuKα. Structure: DFT lattice parameters and positions (GGA-PBE).

```
LaAg2W
1.0
2.948 0.000 0.000
0.000 4.034 0.000
0.000 0.000 7.144
La Ag W
1 2 1
direct
0.000 0.000 0.000 La
0.000 0.000 0.480 Ag
0.500 0.500 0.689 Ag
0.500 0.500 0.284 W
```

Main lines, by angle (2θ = 10–80°):
2θ (°)	I/Imax
12.39	22
33.51	100
37.79	97
39.64	63
44.94	27
61.45	34
65.32	18
73.33	20

=====

Record 2
This entry pairs a crystal structure of La3Y2Ag3 with its simulated powder X-ray diffraction pattern. Radiation: CuKα. Structure: DFT lattice parameters and positions (GGA-PBE).

```
La3Y2Ag3
1.0
-1.875 2.760 11.237
1.875 -2.760 11.237
1.875 2.760 -11.237
La Y Ag
3 2 3
direct
0.000 0.000 0.000 La
0.379 0.879 0.500 La
0.621 0.121 0.500 La
0.232 0.232 0.000 Y
0.768 0.768 0.000 Y
0.123 0.623 0.500 Ag
0.500 0.500 0.000 Ag
0.877 0.377 0.500 Ag
```

Main lines, by angle (2θ = 10–80°):
2θ (°)	I/Imax
31.86	24
32.44	27
32.99	100
46.10	17
57.48	14
58.21	19
69.20	10
76.97	10

=====

Record 3
This entry pairs a crystal structure of La2Zn3Ag6 with its simulated powder X-ray diffraction pattern. Radiation: CuKα. Structure: DFT lattice parameters and positions (GGA-PBE).

```
La2Zn3Ag6
1.0
7.900 0.000 0.000
-3.950 6.841 0.000
0.000 0.000 4.420
La Zn Ag
2 3 6
direct
0.333 0.667 0.000 La
0.667 0.333 0.000 La
0.000 0.612 0.500 Zn
0.388 0.388 0.500 Zn
0.612 0.000 0.500 Zn
0.000 0.280 0.500 Ag
0.000 0.794 0.000 Ag
0.206 0.206 0.000 Ag
0.280 0.000 0.500 Ag
0.720 0.720 0.500 Ag
0.794 0.000 0.000 Ag
```

Main lines, by angle (2θ = 10–80°):
2θ (°)	I/Imax
30.35	100
34.69	30
39.52	29
40.41	88
40.84	33
58.13	18
66.06	21
74.07	18